# 1
Diffraction record for FeSe2. The powder XRD pattern is calculated, not measured: it uses a crystal structure in the Materials Project, relaxed with GGA-PBE and CuKα.

Principal peaks in the range 10° ≤ 2θ ≤ 90°, in order of rising 2θ:
| 2θ/deg | Rel. int. | index |
| --- | --- | --- |
| 31.03 | 42 | 1 0 1 |
| 34.78 | 100 | 1 1 1 |
| 36.25 | 80 | 1 2 0 |
| 48.15 | 72 | 2 1 1 |
| 50.71 | 29 | 0 0 2 |
| 53.95 | 36 | 0 3 1 |
| 57.52 | 15 | 1 3 1 |
| 63.92 | 30 | 1 2 2 |

Structure:
Unit cell a=4.8088 b=5.7832 c=3.6006 alpha=90.00 beta=90.00 gamma=90.00
Space group Pnnm (No. 58)
One atom of each set of equivalent atoms:
Fe  0.0000  0.0000  0.0000 x2
Se  0.2183  0.3672  0.0000 x4

---

# 2
Diffraction record for Fe3Se. The powder XRD pattern is calculated, not measured: it uses a crystal structure in the Materials Project, relaxed with GGA-PBE and CuKα.

Principal peaks in the range 10° ≤ 2θ ≤ 90°, in order of rising 2θ:
| 2θ/deg | Rel. int. | index |
| --- | --- | --- |
| 24.80 | 2 | 1 0 0 |
| 35.36 | 2 | 1 1 0 |
| 43.68 | 100 | 1 1 1 |
| 50.88 | 47 | 2 0 0 |
| 57.40 | 1 | 2 1 0 |
| 63.48 | 1 | 2 1 1 |
| 74.81 | 27 | 2 2 0 |
| 80.23 | 1 | 3 0 0 |

Structure:
Unit cell a=3.5896 b=3.5896 c=3.5896 alpha=90.00 beta=90.00 gamma=90.00
Space group Pm-3m (No. 221)
One atom of each set of equivalent atoms:
Fe  0.0000  0.0000  0.5000 x3
Se  0.5000  0.5000  0.5000 x1

---

# 3
Diffraction record for FeSe2. The powder XRD pattern is calculated, not measured: it uses a crystal structure in the Materials Project, relaxed with GGA-PBE and CuKα.

Principal peaks in the range 10° ≤ 2θ ≤ 90°, in order of rising 2θ:
| 2θ/deg | Rel. int. | index |
| --- | --- | --- |
| 30.90 | 19 | 2 0 0 |
| 34.65 | 100 | 2 1 0 |
| 38.08 | 77 | 2 1 1 |
| 52.43 | 61 | 3 1 1 |
| 57.40 | 23 | 3 0 2 |
| 59.78 | 40 | 3 1 2 |
| 75.22 | 20 | 4 2 1 |
| 87.58 | 18 | 3 3 3 |

Structure:
Unit cell a=5.7885 b=5.7885 c=5.7885 alpha=90.00 beta=90.00 gamma=90.00
Space group Pa-3 (No. 205)
One atom of each set of equivalent atoms:
Fe  0.0000  0.0000  0.0000 x4
Se  0.1251  0.6251  0.8749 x8

---

# 4
Diffraction record for Fe7Se8. The powder XRD pattern is calculated, not measured: it uses a crystal structure in the Materials Project, relaxed with GGA-PBE and CuKα.

Principal peaks in the range 10° ≤ 2θ ≤ 90°, in order of rising 2θ:
| 2θ/deg | Rel. int. | index |
| --- | --- | --- |
| 33.05 | 100 | 2 0 3 |
| 44.50 | 72 | 2 0 6 |
| 50.25 | 51 | 2 2 0 |
| 59.68 | 16 | 0 2 9 |
| 61.47 | 16 | 0 4 3 |
| 69.35 | 16 | 0 4 6 |
| 81.70 | 6 | 4 0 9 |
| 83.27 | 13 | 4 2 3 |

Structure:
Unit cell a=7.2631 b=7.2631 c=16.0248 alpha=90.00 beta=90.00 gamma=120.00
Space group P3_121 (No. 152)
One atom of each set of equivalent atoms:
Fe  0.0000  0.0133  0.1667 x3
Fe  0.0000  0.0296  0.6667 x3
Fe  0.0000  0.4722  0.6667 x3
Fe  0.0039  0.5167  0.8380 x6
Fe  0.0064  0.5194  0.3295 x6
Se  0.1620  0.3375  0.2556 x6
Se  0.1665  0.3424  0.5763 x6
Se  0.1685  0.8289  0.5922 x6
Se  0.3267  0.6625  0.7460 x6

---

Number 1 is which compound? FeSe2